No. 1
Diffraction record for FeSO8. The powder XRD pattern is computed, not measured: it uses a PBE+U-relaxed structure and Cu Ka.

Peak list (12 most intense, 10 to 90 degrees two-theta, low angle first)
- (0 1 0), 10.7°, rel. 1000
- (1 1 -1), 17.6°, rel. 179
- (1 1 0), 17.7°, rel. 297
- (1 1 -2), 20.4°, rel. 113
- (1 1 1), 20.8°, rel. 120
- (0 0 3), 22.3°, rel. 154
- (1 0 -3), 25.1°, rel. 202
- (1 -2 0), 25.4°, rel. 143
- (1 2 0), 26.0°, rel. 103
- (1 -1 3), 27.3°, rel. 223
- (1 0 3), 27.5°, rel. 99
- (0 3 -2), 32.3°, rel. 118

Structure:
```
data_FeSO8
_symmetry_space_group_name_H-M 'P -1'
_symmetry_Int_Tables_number 2
_cell_length_a 6.4544
_cell_length_b 8.5119
_cell_length_c 12.3828
_cell_angle_alpha 104.44
_cell_angle_beta 95.44
_cell_angle_gamma 90.02
loop_
_symmetry_equiv_pos_as_xyz
'x,y,z'
'-x,-y,-z'
loop_
_atom_site_label
_atom_site_fract_x
_atom_site_fract_y
_atom_site_fract_z
Fe1 0.1555 0.4006 0.4292
Fe2 0.2674 0.4015 0.7719
S1 0.0620 0.3197 0.1437
S2 0.4440 0.7217 0.4330
O1 0.0200 0.2440 0.4651
O2 0.0226 0.5058 0.8512
O3 0.0511 0.2951 0.7020
O4 0.1001 0.7975 0.9154
O5 0.1246 0.2989 0.2583
O6 0.1287 0.5535 0.5793
O7 0.2521 0.3185 0.0875
O8 0.3095 0.5746 0.3804
O9 0.3318 0.8688 0.4679
O10 0.3493 0.9937 0.7627
O11 0.3513 0.5683 0.7478
O12 0.3685 0.8512 0.1686
O13 0.3846 0.3444 0.8809
O14 0.4195 0.2526 0.6558
O15 0.4227 0.3111 0.4685
O16 0.4562 0.9940 0.2103
```

***

No. 2
Diffraction record for CaFeO2. The powder XRD pattern is computed, not measured: it uses a PBE+U-relaxed structure and Cu Ka.

Peak list (12 most intense, 10 to 90 degrees two-theta, low angle first)
- (-1 1 1), 33.3°, rel. 400
- (0 1 -3), 33.5°, rel. 394
- (1 1 1), 33.7°, rel. 384
- (0 3 -1), 34.0°, rel. 380
- (0 2 2), 38.4°, rel. 1000
- (1 -2 2), 39.2°, rel. 941
- (1 2 -2), 39.5°, rel. 915
- (1 0 -4), 55.7°, rel. 285
- (1 0 4), 56.1°, rel. 559
- (2 0 0), 56.5°, rel. 274
- (1 4 0), 56.8°, rel. 264
- (0 4 -4), 57.2°, rel. 257

Structure:
```
data_CaFeO2
_symmetry_space_group_name_H-M 'P -1'
_symmetry_Int_Tables_number 2
_cell_length_a 3.2565
_cell_length_b 7.9143
_cell_length_c 8.0200
_cell_angle_alpha 107.97
_cell_angle_beta 90.10
_cell_angle_gamma 90.70
loop_
_symmetry_equiv_pos_as_xyz
'x,y,z'
'-x,-y,-z'
loop_
_atom_site_label
_atom_site_fract_x
_atom_site_fract_y
_atom_site_fract_z
Ca1 0.2388 0.4352 0.3135
Ca2 0.2483 0.7027 0.0692
Fe1 0.2509 0.1808 0.5591
Fe2 0.2575 0.9336 0.8050
O1 0.1961 0.9473 0.3207
O2 0.2573 0.4345 0.8120
O3 0.2623 0.1693 0.0729
O4 0.2767 0.7027 0.5539
```

***

No. 3
Diffraction record for Na3VO3. The powder XRD pattern is computed, not measured: it uses a PBE+U-relaxed structure and Cu Ka.

Peak list (12 most intense, 10 to 90 degrees two-theta, low angle first)
- (1 0 0), 17.7°, rel. 244
- (0 2 1), 21.7°, rel. 1000
- (1 3 -1), 26.7°, rel. 379
- (0 4 1), 32.6°, rel. 532
- (1 4 0), 33.3°, rel. 301
- (0 0 2), 33.5°, rel. 659
- (2 1 -2), 34.2°, rel. 253
- (2 0 0), 35.9°, rel. 508
- (2 3 -1), 37.0°, rel. 327
- (1 4 -2), 40.1°, rel. 612
- (1 4 2), 54.9°, rel. 237
- (1 8 -1), 60.5°, rel. 247

Structure:
```
data_Na3VO3
_symmetry_space_group_name_H-M 'P 1 21/c 1'
_symmetry_Int_Tables_number 14
_cell_length_a 5.9232
_cell_length_b 12.7826
_cell_length_c 6.3331
_cell_angle_alpha 90.00
_cell_angle_beta 122.25
_cell_angle_gamma 90.00
loop_
_symmetry_equiv_pos_as_xyz
'x,y,z'
'-x,-y,-z'
'-x,y+1/2,-z+1/2'
'x,-y+1/2,z+1/2'
loop_
_atom_site_label
_atom_site_fract_x
_atom_site_fract_y
_atom_site_fract_z
Na1 0.0326 0.0161 0.2807
Na2 0.0562 0.2218 0.6994
Na3 0.4253 0.0933 0.1416
V1 0.4194 0.6647 0.7475
O1 0.0519 0.6273 0.5470
O2 0.3188 0.0625 0.6992
O3 0.4729 0.7260 0.0538
```

***

No. 4
Diffraction record for K2P2WO9. The powder XRD pattern is computed, not measured: it uses a PBE+U-relaxed structure and Cu Ka.

Peak list (12 most intense, 10 to 90 degrees two-theta, low angle first)
- (1 1 0), 12.5°, rel. 1000
- (1 1 1), 14.1°, rel. 746
- (2 0 -2), 15.7°, rel. 439
- (1 1 -3), 20.4°, rel. 313
- (3 1 -1), 21.9°, rel. 642
- (0 2 1), 22.3°, rel. 754
- (0 0 4), 22.8°, rel. 358
- (2 2 -1), 25.3°, rel. 420
- (4 0 0), 25.5°, rel. 450
- (1 1 4), 27.0°, rel. 320
- (3 1 3), 29.7°, rel. 348
- (3 3 -6), 50.1°, rel. 276

Structure:
```
data_K2P2WO9
_symmetry_space_group_name_H-M 'C 1 2/c 1'
_symmetry_Int_Tables_number 15
_cell_length_a 14.1231
_cell_length_b 8.2372
_cell_length_c 15.7599
_cell_angle_alpha 90.00
_cell_angle_beta 98.85
_cell_angle_gamma 90.00
loop_
_symmetry_equiv_pos_as_xyz
'x,y,z'
'-x,-y,-z'
'-x,y,-z+1/2'
'x,-y,z+1/2'
'x+1/2,y+1/2,z'
'-x+1/2,-y+1/2,-z'
'-x+1/2,y+1/2,-z+1/2'
'x+1/2,-y+1/2,z+1/2'
loop_
_atom_site_label
_atom_site_fract_x
_atom_site_fract_y
_atom_site_fract_z
K1 0.1460 0.1520 0.2382
K2 0.1492 0.0755 0.9735
P1 0.0370 0.3053 0.4224
P2 0.1274 0.4186 0.8450
W1 0.1122 0.3577 0.6356
O1 0.0255 0.1538 0.3690
O2 0.0372 0.3223 0.8565
O3 0.0520 0.4142 0.0845
O4 0.0715 0.2586 0.5183
O5 0.1204 0.4783 0.7494
O6 0.1251 0.4110 0.3965
O7 0.1432 0.1684 0.6849
O8 0.2199 0.3365 0.8796
O9 0.2249 0.4279 0.6140
```

***

No. 5
Diffraction record for La2CrO6. The powder XRD pattern is computed, not measured: it uses a PBE+U-relaxed structure and Cu Ka.

Peak list (12 most intense, 10 to 90 degrees two-theta, low angle first)
- (2 0 0), 12.8°, rel. 199
- (3 1 0), 27.9°, rel. 1000
- (4 0 -2), 28.4°, rel. 460
- (2 0 2), 28.6°, rel. 451
- (1 1 -2), 29.1°, rel. 882
- (6 0 0), 38.9°, rel. 185
- (2 0 -4), 42.5°, rel. 220
- (7 1 -2), 49.2°, rel. 242
- (5 1 2), 49.4°, rel. 239
- (2 2 2), 50.4°, rel. 456
- (5 1 -4), 51.5°, rel. 186
- (1 1 4), 51.6°, rel. 185

Structure:
```
data_La2CrO6
_symmetry_space_group_name_H-M 'C 1 2/c 1'
_symmetry_Int_Tables_number 15
_cell_length_a 14.5439
_cell_length_b 4.4382
_cell_length_c 8.5145
_cell_angle_alpha 90.00
_cell_angle_beta 107.33
_cell_angle_gamma 90.00
loop_
_symmetry_equiv_pos_as_xyz
'x,y,z'
'-x,-y,-z'
'-x,y,-z+1/2'
'x,-y,z+1/2'
'x+1/2,y+1/2,z'
'-x+1/2,-y+1/2,-z'
'-x+1/2,y+1/2,-z+1/2'
'x+1/2,-y+1/2,z+1/2'
loop_
_atom_site_label
_atom_site_fract_x
_atom_site_fract_y
_atom_site_fract_z
La1 0.1705 0.0062 0.0851
Cr1 0.0000 0.4565 0.2500
O1 0.0011 0.2336 0.4083
O2 0.0988 0.3333 0.7987
O3 0.2440 0.4788 0.6222
```

***

No. 6
Diffraction record for LiCoPO4. The powder XRD pattern is computed, not measured: it uses a PBE+U-relaxed structure and Cu Ka.

Peak list (12 most intense, 10 to 90 degrees two-theta, low angle first)
- (0 0 2), 19.0°, rel. 1000
- (0 2 0), 19.8°, rel. 789
- (0 2 1), 22.0°, rel. 663
- (1 1 1), 22.2°, rel. 339
- (1 3 0), 34.7°, rel. 367
- (2 0 0), 34.9°, rel. 373
- (0 2 3), 35.1°, rel. 189
- (1 1 3), 35.3°, rel. 145
- (1 3 2), 40.0°, rel. 119
- (0 4 1), 41.4°, rel. 141
- (0 2 5), 53.0°, rel. 137
- (3 3 0), 62.4°, rel. 122

Structure:
```
data_LiCoPO4
_symmetry_space_group_name_H-M 'C 1 c 1'
_symmetry_Int_Tables_number 9
_cell_length_a 5.1515
_cell_length_b 8.9694
_cell_length_c 9.3540
_cell_angle_alpha 90.00
_cell_angle_beta 90.83
_cell_angle_gamma 90.00
loop_
_symmetry_equiv_pos_as_xyz
'x,y,z'
'x,-y,z+1/2'
'x+1/2,y+1/2,z'
'x+1/2,-y+1/2,z+1/2'
loop_
_atom_site_label
_atom_site_fract_x
_atom_site_fract_y
_atom_site_fract_z
Li1 0.0000 0.9998 0.0000
Co1 0.0017 0.3334 0.3954
P1 0.0057 0.3303 0.0304
O1 0.0363 0.3241 0.1926
O2 0.1381 0.1906 0.9630
O3 0.1387 0.4739 0.9724
O4 0.2135 0.1693 0.4842
```